This entry pairs a crystal structure of RbZn2CrF8 with its computed XRD peak list. Radiation: Cu Kα. Structure: a crystal structure in Alexandria, relaxed with PBE+U.
Neutral-atom scattering factors, no anomalous dispersion.

Principal peaks in the range 2θ = 10–90°, by angle:
hkl  Position (°2θ)  Rel. int.
1 0 4  24.43  100
0 0 9  33.30  11
1 1 0  34.04  38
0 1 8  35.59  22
2 -1 3  35.86  11
0 2 4  42.34  21
2 0 8  50.07  10
2 1 4  55.40  19
2 -1 12  57.53  20
3 0 0  60.92  15

Cell and atoms:
```
data_RbZn2CrF8
_space_group_name_H-M_alt 'R -3'
_space_group_IT_number 148
_space_group_name_Hall '-R 3'
_cell_length_a 5.2681
_cell_length_b 5.2681
_cell_length_c 24.2153
_cell_angle_alpha 90.00
_cell_angle_beta 90.00
_cell_angle_gamma 120.00
loop_
_atom_site_label
_atom_site_type_symbol
_atom_site_fract_x
_atom_site_fract_y
_atom_site_fract_z
_atom_site_occupancy
Rb1 Rb 0.0000 0.0000 0.0000 1
Zn1 Zn 0.0000 0.0000 0.2396 1
Cr1 Cr 0.0000 0.0000 0.5000 1
F1 F 0.0000 0.0000 0.3165 1
F2 F 0.0022 0.6988 0.5464 1
```